# NiSnH12O6F6
Simulated X-ray powder pattern, Cu Kα, 1.54184 Å. Input: a DFT-relaxed cell (PBE+U, Alexandria).
No peak broadening, texture or thermal motion is included.

The 10 most intense peaks (5 to 70 degrees two-theta), sorted by position:
- (1 1 0), 2θ = 18.1°, d 4.905, I = 100.0
- (0 1 2), 2θ = 20.5°, d 4.329, I = 68.1
- (2 0 2), 2θ = 27.5°, d 3.246, I = 17.6
- (2 1 1), 2θ = 29.2°, d 3.059, I = 12.0
- (3 -2 2), 2θ = 33.1°, d 2.707, I = 41.4
- (0 2 4), 2θ = 41.7°, d 2.164, I = 14.3
- (3 -1 4), 2θ = 45.8°, d 1.980, I = 30.0
- (4 1 0), 2θ = 49.1°, d 1.854, I = 15.2
- (2 3 2), 2θ = 50.2°, d 1.817, I = 12.0
- (1 3 4), 2θ = 53.3°, d 1.720, I = 15.8

Cell and atoms:
a b c (Å): 9.8100 9.8100 10.0614
angles (deg): 90.00 90.00 120.00
Space group R-3 (No. 148, hexagonal axes)
Unique sites:
1 Ni 0.0000 0.0000 0.0000 (multiplicity 3)
2 Sn 0.0000 0.0000 0.5000 (multiplicity 3)
3 H 0.0253 0.8393 0.7895 (multiplicity 18)
4 H 0.0516 0.4580 0.7620 (multiplicity 18)
5 O 0.0076 0.8281 0.8861 (multiplicity 18)
6 F 0.0489 0.8632 0.6156 (multiplicity 18)